(1)
Computed PXRD pattern of Mg2CoN2 for λ = 1.5418 Å (Cu Kα), from a PBE-relaxed structure.
No peak broadening, texture or thermal motion is included.

The 8 most intense peaks (2θ = 5–70°), by angle:
two_theta	d_spacing	I (rel.)	index
23.11	3.849	50	1 1 0
25.31	3.519	100	1 1 -1
36.03	2.493	57	1 1 -2
37.17	2.419	45	3 1 0
42.22	2.140	66	0 2 0
46.79	1.942	36	4 0 -3
46.90	1.937	42	2 0 2
64.90	1.437	42	2 2 2

Cell and atoms:
a = 10.0647 Å, b = 4.2807 Å, c = 6.2548 Å
α = 90.00°, β = 119.09°, γ = 90.00°
Space group C2/m (No. 12)
One atom of each set of equivalent atoms:
Mg 0.0308 0.0000 0.2474 (multiplicity 4)
Mg 0.1789 0.5000 0.0899 (multiplicity 4)
Co 0.1268 0.5000 0.6192 (multiplicity 4)
N 0.0250 0.5000 0.2871 (multiplicity 4)
N 0.1812 0.0000 0.1055 (multiplicity 4)

(2)
Computed PXRD pattern of CsAgC2 for λ = 1.5418 Å (Cu Kα), from a PBE-relaxed structure.
No peak broadening, texture or thermal motion is included.

The 8 most intense peaks (2θ = 5–70°), by angle:
two_theta	d_spacing	I (rel.)	index
23.65	3.762	52	1 1 0
25.91	3.439	100	1 0 2
33.69	2.660	27	2 0 0
42.98	2.104	46	2 1 2
47.01	1.933	17	1 1 4
53.28	1.719	14	2 0 4
64.49	1.445	14	1 0 6
66.69	1.402	13	3 2 2

Cell and atoms:
a = 5.3209 Å, b = 5.3209 Å, c = 9.0125 Å
α = 90.00°, β = 90.00°, γ = 90.00°
Space group P4_2/mmc (No. 131)
One atom of each set of equivalent atoms:
Cs 0.0000 0.0000 0.2500 (multiplicity 2)
Ag 0.5000 0.5000 0.0000 (multiplicity 2)
C 0.1174 0.5000 0.0000 (multiplicity 4)

(3)
Computed PXRD pattern of GdBC for λ = 1.5418 Å (Cu Kα), from a PBE-relaxed structure.
No peak broadening, texture or thermal motion is included.

The 8 most intense peaks (2θ = 5–70°), by angle:
two_theta	d_spacing	I (rel.)	index
21.98	4.045	100	0 4 0
25.10	3.548	54	0 0 1
26.76	3.332	43	1 1 0
31.06	2.879	49	1 3 0
33.60	2.667	59	0 4 1
37.01	2.429	54	1 1 1
40.34	2.236	70	1 3 1
54.51	1.683	32	1 7 1

Cell and atoms:
a = 3.4049 Å, b = 16.1791 Å, c = 3.5479 Å
α = 90.00°, β = 90.00°, γ = 90.00°
Space group Cmmm (No. 65)
One atom of each set of equivalent atoms:
Gd 0.0000 0.1362 0.0000 (multiplicity 4)
B 0.0000 0.2804 0.5000 (multiplicity 4)
C 0.0000 0.3730 0.5000 (multiplicity 4)

(4)
Computed PXRD pattern of MnCo5N4 for λ = 1.5418 Å (Cu Kα), from a PBE-relaxed structure.
No peak broadening, texture or thermal motion is included.

The 8 most intense peaks (2θ = 5–70°), by angle:
two_theta	d_spacing	I (rel.)	index
30.23	2.957	16	2 0 0
38.69	2.327	98	2 1 1
39.82	2.264	51	0 0 2
40.34	2.236	57	2 2 0
44.54	2.034	100	0 3 1
50.79	1.797	13	2 0 2
57.98	1.591	61	2 2 2
62.86	1.478	21	4 0 0

Cell and atoms:
a = 5.9135 Å, b = 6.8315 Å, c = 4.5275 Å
α = 90.00°, β = 90.00°, γ = 90.00°
Space group Pmmn (No. 59, origin choice 2)
One atom of each set of equivalent atoms:
Mn 0.2500 0.2500 0.1825 (multiplicity 2)
Co 0.0267 0.5645 0.2466 (multiplicity 8)
Co 0.2500 0.7500 0.7401 (multiplicity 2)
N 0.0273 0.2500 0.4682 (multiplicity 4)
N 0.2500 0.0154 0.9548 (multiplicity 4)

(5)
Computed PXRD pattern of CaSiO3 for λ = 1.5418 Å (Cu Kα), from a PBE-relaxed structure.
No peak broadening, texture or thermal motion is included.

The 8 most intense peaks (2θ = 5–70°), by angle:
two_theta	d_spacing	I (rel.)	index
22.90	3.883	16	0 0 4
25.03	3.558	22	2 0 0
26.50	3.364	27	2 0 -2
28.62	3.119	20	2 0 2
29.70	3.008	100	0 2 3
35.91	2.501	18	2 2 1
40.92	2.206	19	1 2 5
49.30	1.848	21	0 4 0

Cell and atoms:
a = 7.1514 Å, b = 7.3929 Å, c = 15.6086 Å
α = 90.00°, β = 95.71°, γ = 90.00°
Space group P2_1/c (No. 14)
One atom of each set of equivalent atoms:
Ca 0.0299 0.1242 0.2521 (multiplicity 4)
Ca 0.2595 0.6258 0.5988 (multiplicity 4)
Ca 0.2632 0.1217 0.6024 (multiplicity 4)
Si 0.2292 0.1590 0.9077 (multiplicity 4)
Si 0.2300 0.5923 0.9079 (multiplicity 4)
Si 0.4419 0.6234 0.3026 (multiplicity 4)
O 0.0344 0.1128 0.8479 (multiplicity 4)
O 0.0340 0.6397 0.8498 (multiplicity 4)
O 0.2317 0.1237 0.0091 (multiplicity 4)
O 0.2381 0.6268 0.0102 (multiplicity 4)
O 0.2712 0.1240 0.3893 (multiplicity 4)
O 0.2982 0.6231 0.2156 (multiplicity 4)
O 0.3314 0.1247 0.1996 (multiplicity 4)
O 0.4060 0.6965 0.8652 (multiplicity 4)
O 0.4069 0.0559 0.8654 (multiplicity 4)

(6)
Computed PXRD pattern of SiC for λ = 1.5418 Å (Cu Kα), from a PBE-relaxed structure.
No peak broadening, texture or thermal motion is included.

The 8 most intense peaks (2θ = 5–70°), by angle:
two_theta	d_spacing	I (rel.)	index
33.79	2.653	20	0 1 11
34.62	2.591	27	1 0 19
35.03	2.562	33	1 0 22
35.18	2.551	29	0 1 23
35.53	2.527	100	0 0 75
37.85	2.377	31	1 0 37
38.09	2.363	30	0 1 38
59.69	1.549	87	1 1 0

Cell and atoms:
a = 3.0982 Å, b = 3.0982 Å, c = 189.4944 Å
α = 90.00°, β = 90.00°, γ = 120.00°
Space group R3m (No. 160, hexagonal axes)
One atom of each set of equivalent atoms:
Si 0.0000 0.0000 0.0000 (multiplicity 3)
Si 0.0000 0.0000 0.0266 (multiplicity 3)
Si 0.0000 0.0000 0.0532 (multiplicity 3)
Si 0.0000 0.0000 0.1065 (multiplicity 3)
Si 0.0000 0.0000 0.1332 (multiplicity 3)
Si 0.0000 0.0000 0.1598 (multiplicity 3)
Si 0.0000 0.0000 0.2131 (multiplicity 3)
Si 0.0000 0.0000 0.2663 (multiplicity 3)
Si 0.0000 0.0000 0.2932 (multiplicity 3)
Si 0.0000 0.0000 0.3200 (multiplicity 3)
Si 0.0000 0.0000 0.3732 (multiplicity 3)
Si 0.0000 0.0000 0.4132 (multiplicity 3)
Si 0.0000 0.0000 0.4532 (multiplicity 3)
Si 0.0000 0.0000 0.5065 (multiplicity 3)
Si 0.0000 0.0000 0.5332 (multiplicity 3)
Si 0.0000 0.0000 0.5598 (multiplicity 3)
Si 0.0000 0.0000 0.5863 (multiplicity 3)
Si 0.0000 0.0000 0.6400 (multiplicity 3)
Si 0.0000 0.0000 0.6800 (multiplicity 3)
Si 0.0000 0.0000 0.7332 (multiplicity 3)
Si 0.0000 0.0000 0.7599 (multiplicity 3)
Si 0.0000 0.0000 0.8132 (multiplicity 3)
Si 0.0000 0.0000 0.8532 (multiplicity 3)
Si 0.0000 0.0000 0.9064 (multiplicity 3)
Si 0.0000 0.0000 0.9464 (multiplicity 3)
C 0.0000 0.0000 0.0166 (multiplicity 3)
C 0.0000 0.0000 0.0432 (multiplicity 3)
C 0.0000 0.0000 0.0965 (multiplicity 3)
C 0.0000 0.0000 0.1232 (multiplicity 3)
C 0.0000 0.0000 0.1498 (multiplicity 3)
C 0.0000 0.0000 0.2031 (multiplicity 3)
C 0.0000 0.0000 0.2563 (multiplicity 3)
C 0.0000 0.0000 0.2831 (multiplicity 3)
C 0.0000 0.0000 0.3100 (multiplicity 3)
C 0.0000 0.0000 0.3632 (multiplicity 3)
C 0.0000 0.0000 0.4031 (multiplicity 3)
C 0.0000 0.0000 0.4431 (multiplicity 3)
C 0.0000 0.0000 0.4965 (multiplicity 3)
C 0.0000 0.0000 0.5232 (multiplicity 3)
C 0.0000 0.0000 0.5498 (multiplicity 3)
C 0.0000 0.0000 0.5763 (multiplicity 3)
C 0.0000 0.0000 0.6299 (multiplicity 3)
C 0.0000 0.0000 0.6699 (multiplicity 3)
C 0.0000 0.0000 0.7232 (multiplicity 3)
C 0.0000 0.0000 0.7498 (multiplicity 3)
C 0.0000 0.0000 0.8031 (multiplicity 3)
C 0.0000 0.0000 0.8431 (multiplicity 3)
C 0.0000 0.0000 0.8964 (multiplicity 3)
C 0.0000 0.0000 0.9363 (multiplicity 3)
C 0.0000 0.0000 0.9900 (multiplicity 3)